# Nd5DyAu6
Theoretical XRD peak list, λ = 1.5418 Å (Cu Kα). Input: a DFT-relaxed cell (PBE, Alexandria).

The 8 most intense peaks (10 to 90 degrees two-theta), low angle first:
2θ (°), d_spacing, intensity, h k l
34.20, 2.622, 51, 2 0 -2
34.33, 2.612, 100, 2 2 1
49.07, 1.857, 9, 4 0 2
49.22, 1.851, 9, 8 0 -2
49.53, 1.840, 9, 0 4 0
61.30, 1.512, 28, 0 2 3
61.37, 1.511, 9, 6 2 -3
61.57, 1.506, 18, 2 4 -2

Cell lengths 16.570, 7.361, 5.243 Å; angles 90.00, 108.28, 90.00 degrees
Space group C2/m (No. 12)
Inequivalent atoms, fractional coordinates:
Nd 0.000 0.000 0.000 [2 per cell]
Nd 0.165 0.000 0.665 [4 per cell]
Nd 0.169 0.500 0.669 [4 per cell]
Dy 0.000 0.500 0.000 [2 per cell]
Au 0.000 0.267 0.500 [4 per cell]
Au 0.162 0.259 0.161 [8 per cell]



# KSr7
Theoretical XRD peak list, λ = 1.5418 Å (Cu Kα). Input: a DFT-relaxed cell (PBE, Alexandria).

The 8 most intense peaks (10 to 90 degrees two-theta), low angle first:
2θ (°), d_spacing, intensity, h k l
23.88, 3.726, 23, 2 0 0
25.26, 3.526, 26, 0 0 2
27.06, 3.295, 100, 2 0 1
35.04, 2.561, 17, 2 0 2
42.00, 2.151, 20, 2 2 0
45.63, 1.988, 24, 2 0 3
49.64, 1.837, 24, 2 2 2
50.68, 1.801, 17, 4 0 1

Cell lengths 8.6058, 8.6058, 7.0519 Å; angles 90.00, 90.00, 120.00 degrees
Space group P-6m2 (No. 187)
Inequivalent atoms, fractional coordinates:
K 0.0000 0.0000 0.0000 [1 per cell]
Sr 0.0009 0.5004 0.0000 [3 per cell]
Sr 0.1700 0.3400 0.5000 [3 per cell]
Sr 0.6667 0.3333 0.5000 [1 per cell]



# Y2TeSe
Theoretical XRD peak list, λ = 1.5418 Å (Cu Kα). Input: a DFT-relaxed cell (PBE, Alexandria).

The 8 most intense peaks (10 to 90 degrees two-theta), low angle first:
2θ (°), d_spacing, intensity, h k l
26.82, 3.324, 4, 1 0 3
29.83, 2.995, 100, 2 0 0
42.69, 2.118, 73, 2 2 0
52.95, 1.729, 25, 2 2 4
61.94, 1.498, 7, 0 4 0
62.03, 1.496, 4, 4 0 0
70.28, 1.339, 31, 4 2 0
78.17, 1.223, 23, 4 2 4

Cell lengths 5.984, 5.993, 11.987 Å; angles 90.00, 90.00, 90.00 degrees
Space group Imma (No. 74)
Inequivalent atoms, fractional coordinates:
Y 0.000 0.250 0.111 [4 per cell]
Y 0.000 0.250 0.632 [4 per cell]
Te 0.000 0.250 0.372 [4 per cell]
Se 0.000 0.250 0.872 [4 per cell]



# Hg3P2S8
Theoretical XRD peak list, λ = 1.5418 Å (Cu Kα). Input: a DFT-relaxed cell (PBE, Alexandria).

The 8 most intense peaks (10 to 90 degrees two-theta), low angle first:
2θ (°), d_spacing, intensity, h k l
13.90, 6.373, 100, 1 1 1
19.70, 4.506, 59, 2 1 1
24.19, 3.679, 52, 2 2 1
25.52, 3.490, 44, 3 1 0
29.17, 3.061, 58, 3 0 2
33.47, 2.677, 47, 3 2 2
34.47, 2.602, 37, 3 3 0
37.33, 2.409, 61, 4 2 1

Cell lengths 11.038, 11.038, 11.038 Å; angles 90.00, 90.00, 90.00 degrees
Space group P2_13 (No. 198)
Inequivalent atoms, fractional coordinates:
Hg 0.105 0.266 0.878 [12 per cell]
P 0.095 0.405 0.595 [4 per cell]
P 0.116 0.884 0.384 [4 per cell]
S 0.003 0.278 0.218 [12 per cell]
S 0.010 0.010 0.010 [4 per cell]
S 0.011 0.989 0.489 [4 per cell]
S 0.018 0.794 0.801 [12 per cell]



# Nd3Ga3Au8
Theoretical XRD peak list, λ = 1.5418 Å (Cu Kα). Input: a DFT-relaxed cell (PBE, Alexandria).

The 8 most intense peaks (10 to 90 degrees two-theta), low angle first:
2θ (°), d_spacing, intensity, h k l
27.40, 3.255, 29, 0 0 4
32.89, 2.723, 43, 0 2 4
33.30, 2.691, 100, 1 3 0
33.62, 2.666, 78, 1 2 3
34.94, 2.568, 51, 1 1 4
39.12, 2.302, 73, 2 0 0
41.87, 2.158, 29, 1 4 1
43.65, 2.074, 45, 1 3 4

Cell lengths 4.605, 9.947, 13.018 Å; angles 90.00, 90.00, 90.00 degrees
Space group Immm (No. 71)
Inequivalent atoms, fractional coordinates:
Nd 0.000 0.000 0.000 [2 per cell]
Nd 0.000 0.000 0.299 [4 per cell]
Ga 0.000 0.194 0.500 [4 per cell]
Ga 0.000 0.500 0.000 [2 per cell]
Au 0.000 0.294 0.127 [8 per cell]
Au 0.000 0.363 0.344 [8 per cell]



# KAu2O2
Theoretical XRD peak list, λ = 1.5418 Å (Cu Kα). Input: a DFT-relaxed cell (PBE, Alexandria).

The 8 most intense peaks (10 to 90 degrees two-theta), low angle first:
2θ (°), d_spacing, intensity, h k l
16.72, 5.302, 100, 1 0 1
25.52, 3.491, 46, 1 0 3
27.19, 3.280, 29, 0 0 4
33.81, 2.651, 82, 2 0 2
35.30, 2.543, 53, 2 1 1
52.42, 1.745, 29, 2 0 6
52.67, 1.738, 25, 2 2 4
74.66, 1.271, 21, 4 2 2

Cell lengths 5.796, 5.796, 13.118 Å; angles 90.00, 90.00, 90.00 degrees
Space group I4_1md (No. 109)
Inequivalent atoms, fractional coordinates:
K 0.000 0.000 0.000 [4 per cell]
Au 0.000 0.257 0.584 [8 per cell]
O 0.000 0.229 0.428 [8 per cell]



# VIrSeBr2
Theoretical XRD peak list, λ = 1.5418 Å (Cu Kα). Input: a DFT-relaxed cell (PBE, Alexandria).

The 8 most intense peaks (10 to 90 degrees two-theta), low angle first:
2θ (°), d_spacing, intensity, h k l
17.89, 4.957, 83, 0 0 1
25.41, 3.505, 85, 1 0 1
36.25, 2.478, 100, 2 0 0
40.71, 2.216, 42, 2 0 1
44.80, 2.023, 38, 2 1 1
52.20, 1.752, 69, 2 2 0
65.21, 1.431, 23, 2 2 2
88.13, 1.108, 21, 4 0 2

Cell lengths 4.954, 4.954, 4.960 Å; angles 90.00, 90.00, 90.00 degrees
Space group P4/mmm (No. 123)
Inequivalent atoms, fractional coordinates:
V 0.000 0.000 0.000 [1 per cell]
Ir 0.000 0.000 0.500 [1 per cell]
Se 0.500 0.500 0.000 [1 per cell]
Br 0.000 0.500 0.500 [2 per cell]



# K3Cu2Cl8
Theoretical XRD peak list, λ = 1.5418 Å (Cu Kα). Input: a DFT-relaxed cell (PBE, Alexandria).

The 8 most intense peaks (10 to 90 degrees two-theta), low angle first:
2θ (°), d_spacing, intensity, h k l
19.83, 4.478, 35, 1 0 4
22.14, 4.015, 49, 0 1 5
25.95, 3.433, 100, 1 1 0
30.78, 2.905, 52, 2 0 2
34.37, 2.609, 72, 2 0 5
36.30, 2.475, 52, 1 0 10
53.37, 1.717, 49, 2 2 0
57.43, 1.604, 38, 1 1 15

Cell lengths 6.8667, 6.8667, 27.2166 Å; angles 90.00, 90.00, 120.00 degrees
Space group R-3m (No. 166, hexagonal axes)
Inequivalent atoms, fractional coordinates:
K 0.0000 0.0000 0.0000 [3 per cell]
K 0.0000 0.0000 0.2071 [6 per cell]
Cu 0.0000 0.0000 0.4025 [6 per cell]
Cl 0.0000 0.0000 0.3213 [6 per cell]
Cl 0.0095 0.5048 0.7694 [18 per cell]



# Na2B3C
Theoretical XRD peak list, λ = 1.5418 Å (Cu Kα). Input: a DFT-relaxed cell (PBE, Alexandria).

The 8 most intense peaks (10 to 90 degrees two-theta), low angle first:
2θ (°), d_spacing, intensity, h k l
34.52, 2.599, 12, 0 0 10
36.05, 2.491, 17, 0 1 5
40.58, 2.223, 51, 2 0 10
41.92, 2.155, 100, 2 1 5
42.08, 2.147, 38, 4 0 0
62.84, 1.479, 18, 0 1 15
76.79, 1.241, 13, 6 1 5
78.54, 1.218, 17, 4 1 15

Cell lengths 8.589, 2.839, 25.986 Å; angles 90.00, 90.00, 90.00 degrees
Space group Amm2 (No. 38)
Inequivalent atoms, fractional coordinates:
Na 0.247 0.000 0.000 [4 per cell]
Na 0.247 0.000 0.200 [4 per cell]
Na 0.248 0.000 0.400 [4 per cell]
Na 0.249 0.000 0.801 [4 per cell]
Na 0.250 0.000 0.600 [4 per cell]
B 0.000 0.000 0.067 [2 per cell]
B 0.000 0.000 0.270 [2 per cell]
B 0.000 0.000 0.474 [2 per cell]
B 0.000 0.000 0.661 [2 per cell]
B 0.000 0.000 0.731 [2 per cell]
B 0.000 0.000 0.864 [2 per cell]
B 0.000 0.000 0.934 [2 per cell]
B 0.500 0.000 0.067 [2 per cell]
B 0.500 0.000 0.131 [2 per cell]
B 0.500 0.000 0.330 [2 per cell]
B 0.500 0.000 0.525 [2 per cell]
B 0.500 0.000 0.672 [2 per cell]
B 0.500 0.000 0.739 [2 per cell]
B 0.500 0.000 0.869 [2 per cell]
B 0.500 0.000 0.935 [2 per cell]
C 0.000 0.000 0.130 [2 per cell]
C 0.000 0.000 0.333 [2 per cell]
C 0.000 0.000 0.536 [2 per cell]
C 0.500 0.000 0.269 [2 per cell]
C 0.500 0.000 0.466 [2 per cell]



# NbCoNi3
Theoretical XRD peak list, λ = 1.5418 Å (Cu Kα). Input: a DFT-relaxed cell (PBE, Alexandria).

The 8 most intense peaks (10 to 90 degrees two-theta), low angle first:
2θ (°), d_spacing, intensity, h k l
23.48, 3.789, 40, 1 0 1
27.13, 3.286, 32, 0 1 2
45.64, 1.988, 31, 0 1 5
45.83, 1.980, 100, 0 2 1
47.71, 1.906, 18, 0 0 6
48.03, 1.894, 48, 2 0 2
82.90, 1.165, 15, 2 0 8
83.37, 1.159, 15, 2 2 0

Cell lengths 4.6367, 4.6367, 11.4379 Å; angles 90.00, 90.00, 120.00 degrees
Space group R3m (No. 160, hexagonal axes)
Inequivalent atoms, fractional coordinates:
Nb 0.0000 0.0000 0.0000 [3 per cell]
Co 0.0000 0.0000 0.6273 [3 per cell]
Ni 0.0017 0.5008 0.1280 [9 per cell]



# LiCaEr2S4
Theoretical XRD peak list, λ = 1.5418 Å (Cu Kα). Input: a DFT-relaxed cell (PBE, Alexandria).

The 8 most intense peaks (10 to 90 degrees two-theta), low angle first:
2θ (°), d_spacing, intensity, h k l
13.09, 6.762, 63, 0 0 2
24.10, 3.692, 100, 0 2 3
31.22, 2.865, 40, 1 3 0
31.90, 2.805, 24, 1 3 1
33.95, 2.640, 49, 1 3 2
36.03, 2.493, 27, 0 2 5
41.36, 2.183, 35, 1 1 5
47.02, 1.933, 58, 2 0 0

Cell lengths 3.862, 12.847, 13.523 Å; angles 90.00, 90.00, 90.00 degrees
Space group Cmcm (No. 63)
Inequivalent atoms, fractional coordinates:
Li 0.000 0.150 0.250 [4 per cell]
Ca 0.000 0.119 0.750 [4 per cell]
Er 0.000 0.371 0.558 [8 per cell]
S 0.000 0.000 0.000 [4 per cell]
S 0.000 0.273 0.120 [8 per cell]
S 0.000 0.454 0.750 [4 per cell]



# Na6Au
Theoretical XRD peak list, λ = 1.5418 Å (Cu Kα). Input: a DFT-relaxed cell (PBE, Alexandria).

The 8 most intense peaks (10 to 90 degrees two-theta), low angle first:
2θ (°), d_spacing, intensity, h k l
11.12, 7.955, 100, 0 0 3
19.16, 4.632, 79, 1 0 1
20.22, 4.391, 76, 0 1 2
24.03, 3.703, 38, 1 0 4
32.39, 2.764, 84, 1 0 7
32.85, 2.726, 86, 1 1 0
34.78, 2.579, 44, 1 1 3
58.36, 1.581, 30, 2 1 7

Cell lengths 5.4527, 5.4527, 23.8660 Å; angles 90.00, 90.00, 120.00 degrees
Space group R-3m (No. 166, hexagonal axes)
Inequivalent atoms, fractional coordinates:
Na 0.0000 0.0000 0.0753 [6 per cell]
Na 0.0000 0.0000 0.2072 [6 per cell]
Na 0.0000 0.0000 0.3694 [6 per cell]
Au 0.0000 0.0000 0.5000 [3 per cell]